[1]
For LaNp2RhN4, a GGA-PBE-relaxed structure gives the computed X-ray diffraction stick pattern in this record (Cu Kα (λ = 1.5418 Å)).
Peak positions follow from Bragg's law for the DFT cell and can differ from measured ones.

Structural model:
```
data_LaNp2RhN4
_cell_length_a 6.0113
_cell_length_b 6.0113
_cell_length_c 11.6926
_cell_angle_alpha 90.00
_cell_angle_beta 90.00
_cell_angle_gamma 146.25
_symmetry_space_group_name_H-M 'P 1'
_symmetry_Int_Tables_number 1
_symmetry_space_group_name_Hall 'P 1'
loop_
_atom_site_label
_atom_site_type_symbol
_atom_site_fract_x
_atom_site_fract_y
_atom_site_fract_z
La1 La 0.1050 0.8950 0.7500
La2 La 0.8950 0.1050 0.2500
Np1 Np 0.3706 0.6294 0.5559
Np2 Np 0.3706 0.6294 0.9441
Np3 Np 0.6294 0.3706 0.0559
Np4 Np 0.6294 0.3706 0.4441
Rh1 Rh 0.1570 0.8430 0.2500
Rh2 Rh 0.8430 0.1570 0.7500
N1 N 0.0000 0.0000 0.0000
N2 N 0.0000 0.0000 0.5000
N3 N 0.2644 0.7356 0.0997
N4 N 0.2644 0.7356 0.4003
N5 N 0.4480 0.5520 0.7500
N6 N 0.5520 0.4480 0.2500
N7 N 0.7356 0.2644 0.5997
N8 N 0.7356 0.2644 0.9003
```

The 10 most intense peaks (2θ from 10° to 90°), low angle first:
d [Å]	intensity
3.227	80
2.900	100
2.876	62
2.536	34
2.520	26
2.361	79
2.166	28
1.733	26
1.722	46
1.492	24


[2]
For LiDy2Pb8, a GGA-PBE-relaxed structure gives the computed X-ray diffraction stick pattern in this record (Cu Kα (λ = 1.5418 Å)).
Peak positions follow from Bragg's law for the DFT cell and can differ from measured ones.

Structural model:
```
data_LiDy2Pb8
_cell_length_a 4.8119
_cell_length_b 4.8119
_cell_length_c 13.6162
_cell_angle_alpha 90.00
_cell_angle_beta 90.00
_cell_angle_gamma 90.00
_symmetry_space_group_name_H-M 'P 1'
_symmetry_Int_Tables_number 1
_symmetry_space_group_name_Hall 'P 1'
loop_
_atom_site_label
_atom_site_type_symbol
_atom_site_fract_x
_atom_site_fract_y
_atom_site_fract_z
Li1 Li 0.0000 0.0000 0.0000
Dy1 Dy 0.0000 0.0000 0.3231
Dy2 Dy 0.0000 0.0000 0.6769
Pb1 Pb 0.0000 0.5000 0.1318
Pb2 Pb 0.0000 0.5000 0.5000
Pb3 Pb 0.0000 0.5000 0.8682
Pb4 Pb 0.5000 0.0000 0.1318
Pb5 Pb 0.5000 0.0000 0.5000
Pb6 Pb 0.5000 0.0000 0.8682
Pb7 Pb 0.5000 0.5000 0.3098
Pb8 Pb 0.5000 0.5000 0.6902
```

The 10 most intense peaks (2θ from 10° to 90°), low angle first:
d [Å]	intensity
3.044	25
2.723	100
2.406	41
1.803	19
1.701	14
1.651	9
1.522	19
1.443	35
1.134	15
1.100	16


[3]
For Pm2Nd6ErTm, a GGA-PBE-relaxed structure gives the computed X-ray diffraction stick pattern in this record (Cu Kα (λ = 1.5418 Å)).
Peak positions follow from Bragg's law for the DFT cell and can differ from measured ones.

Structural model:
```
data_Pm2Nd6ErTm
_cell_length_a 8.9847
_cell_length_b 8.9847
_cell_length_c 9.7582
_cell_angle_alpha 94.13
_cell_angle_beta 94.13
_cell_angle_gamma 118.09
_symmetry_space_group_name_H-M 'P 1'
_symmetry_Int_Tables_number 1
_symmetry_space_group_name_Hall 'P 1'
loop_
_atom_site_label
_atom_site_type_symbol
_atom_site_fract_x
_atom_site_fract_y
_atom_site_fract_z
Pm1 Pm 0.1978 0.2980 0.0435
Pm2 Pm 0.2980 0.1978 0.5435
Pm3 Pm 0.7020 0.8022 0.4565
Pm4 Pm 0.8022 0.7020 0.9565
Nd1 Nd 0.0126 0.5709 0.1903
Nd2 Nd 0.1221 0.7586 0.5543
Nd3 Nd 0.2414 0.8779 0.9457
Nd4 Nd 0.2908 0.5030 0.3820
Nd5 Nd 0.4291 0.9874 0.3097
Nd6 Nd 0.4970 0.7092 0.1180
Nd7 Nd 0.5030 0.2908 0.8820
Nd8 Nd 0.5709 0.0126 0.6903
Nd9 Nd 0.7092 0.4970 0.6180
Nd10 Nd 0.7586 0.1221 0.0543
Nd11 Nd 0.8779 0.2414 0.4457
Nd12 Nd 0.9874 0.4291 0.8097
Er1 Er 0.0228 0.9772 0.2500
Er2 Er 0.9772 0.0228 0.7500
Tm1 Tm 0.4098 0.5902 0.7500
Tm2 Tm 0.5902 0.4098 0.2500
```

The 10 most intense peaks (2θ from 10° to 90°), low angle first:
d [Å]	intensity
3.248	20
3.178	38
2.974	98
2.921	45
2.888	100
2.831	19
2.704	41
2.654	15
1.826	12
1.553	14


[4]
For ThB6W2, a GGA-PBE-relaxed structure gives the computed X-ray diffraction stick pattern in this record (Cu Kα (λ = 1.5418 Å)).
Peak positions follow from Bragg's law for the DFT cell and can differ from measured ones.

Structural model:
```
data_ThB6W2
_cell_length_a 5.7848
_cell_length_b 5.7848
_cell_length_c 5.7848
_cell_angle_alpha 147.91
_cell_angle_beta 105.95
_cell_angle_gamma 82.99
_symmetry_space_group_name_H-M 'P 1'
_symmetry_Int_Tables_number 1
_symmetry_space_group_name_Hall 'P 1'
loop_
_atom_site_label
_atom_site_type_symbol
_atom_site_fract_x
_atom_site_fract_y
_atom_site_fract_z
Th1 Th 0.0000 0.0000 0.0000
B1 B 0.0666 0.3066 0.7599
B2 B 0.3357 0.5000 0.8357
B3 B 0.4533 0.6934 0.7599
B4 B 0.5467 0.3066 0.2401
B5 B 0.6643 0.5000 0.1643
B6 B 0.9334 0.6934 0.2401
W1 W 0.3457 0.8457 0.5000
W2 W 0.6543 0.1543 0.5000
```

The 10 most intense peaks (2θ from 10° to 90°), low angle first:
d [Å]	intensity
3.483	90
3.000	67
2.668	100
2.414	61
2.273	79
1.810	34
1.737	44
1.724	20
1.419	21
1.372	27